[1]
The following is a calculated X-ray diffraction stick pattern of Mg9Si5. It was derived from a cell relaxed with GGA-PBE, using λ = 1.5418 Å (Cu Kα).
Neutral-atom scattering factors, no anomalous dispersion.

Atomic structure:
```
data_Mg9Si5
_chemical_formula_sum 'Mg18 Si10'
_space_group_name_H-M_alt 'P 1'
_space_group_IT_number 1
_cell_length_a 7.200
_cell_length_b 7.212
_cell_length_c 12.427
_cell_angle_alpha 82.10
_cell_angle_beta 86.20
_cell_angle_gamma 61.54
loop_
_space_group_symop_operation_xyz
'x,y,z'
loop_
_atom_site_label
_atom_site_type_symbol
_atom_site_fract_x
_atom_site_fract_y
_atom_site_fract_z
Mg1 Mg 0.000 0.000 0.000
Mg2 Mg 0.002 0.901 0.301
Mg3 Mg 0.055 0.065 0.644
Mg4 Mg 0.099 0.253 0.177
Mg5 Mg 0.268 0.531 0.681
Mg6 Mg 0.270 0.458 0.978
Mg7 Mg 0.339 0.406 0.305
Mg8 Mg 0.359 0.678 0.469
Mg9 Mg 0.390 0.709 0.120
Mg10 Mg 0.418 0.751 0.829
Mg11 Mg 0.598 0.926 0.408
Mg12 Mg 0.608 0.967 0.168
Mg13 Mg 0.649 0.179 0.822
Mg14 Mg 0.729 0.846 0.651
Mg15 Mg 0.739 0.241 0.463
Mg16 Mg 0.768 0.723 0.981
Mg17 Mg 0.949 0.523 0.472
Mg18 Mg 0.960 0.402 0.815
Si1 Si 0.007 0.786 0.817
Si2 Si 0.035 0.661 0.146
Si3 Si 0.175 0.116 0.413
Si4 Si 0.345 0.135 0.730
Si5 Si 0.355 0.053 0.990
Si6 Si 0.360 0.239 0.533
Si7 Si 0.634 0.573 0.297
Si8 Si 0.675 0.402 0.979
Si9 Si 0.675 0.487 0.643
Si10 Si 0.710 0.289 0.180
```

Largest 10 diffraction maxima, low angle first, 2θ from 10° to 80°:
31.5°, d = 2.839 Å, rel. 67.3
33.9°, d = 2.647 Å, rel. 78.0
34.1°, d = 2.628 Å, rel. 59.6
34.3°, d = 2.613 Å, rel. 53.8
35.8°, d = 2.507 Å, rel. 72.9
38.0°, d = 2.366 Å, rel. 100.0
40.9°, d = 2.206 Å, rel. 49.8
42.8°, d = 2.112 Å, rel. 80.4
42.9°, d = 2.110 Å, rel. 55.0
44.1°, d = 2.051 Å, rel. 57.7

[2]
The following is a calculated X-ray diffraction stick pattern of Ti2ZnSnO6. It was derived from a cell relaxed with GGA-PBE, using λ = 1.5418 Å (Cu Kα).
Neutral-atom scattering factors, no anomalous dispersion.

Atomic structure:
```
data_Ti2ZnSnO6
_chemical_formula_sum 'Ti8 Zn4 Sn4 O24'
_space_group_name_H-M_alt 'P 42/n m c'
_space_group_IT_number 137
_cell_length_a 7.628
_cell_length_b 7.628
_cell_length_c 7.748
_cell_angle_alpha 90.00
_cell_angle_beta 90.00
_cell_angle_gamma 90.00
loop_
_space_group_symop_operation_xyz
'x,y,z'
'-x,-y,-z'
'-y+1/2,x,z+1/2'
'y+1/2,-x,-z+1/2'
'-x+1/2,-y+1/2,z'
'x+1/2,y+1/2,-z'
'y,-x+1/2,z+1/2'
'-y,x+1/2,-z+1/2'
'x+1/2,-y,-z'
'-x+1/2,y,z'
'-y,-x,-z+1/2'
'y,x,z+1/2'
'-x,y+1/2,-z'
'x,-y+1/2,z'
'y+1/2,x+1/2,-z+1/2'
'-y+1/2,-x+1/2,z+1/2'
loop_
_atom_site_label
_atom_site_type_symbol
_atom_site_fract_x
_atom_site_fract_y
_atom_site_fract_z
Ti1 Ti 0.000 0.000 0.000
Zn1 Zn 0.250 0.750 0.250
Zn2 Zn 0.250 0.750 0.750
Sn1 Sn 0.250 0.250 0.228
O1 O 0.050 0.750 0.431
O2 O 0.051 0.250 0.964
O3 O 0.056 0.556 0.750
```

Largest 10 diffraction maxima, low angle first, 2θ from 10° to 80°:
23.3°, d = 3.814 Å, rel. 10.3
33.0°, d = 2.718 Å, rel. 100.0
33.2°, d = 2.697 Å, rel. 49.2
40.8°, d = 2.213 Å, rel. 20.5
46.9°, d = 1.937 Å, rel. 14.0
47.7°, d = 1.907 Å, rel. 29.8
58.7°, d = 1.573 Å, rel. 21.5
59.2°, d = 1.561 Å, rel. 47.0
69.1°, d = 1.359 Å, rel. 13.5
79.3°, d = 1.208 Å, rel. 10.8